Diffraction record for Li6Zr4O11. The powder diffraction line list is simulated, not measured: it uses a cell relaxed with PBE and Cu Kα (λ = 1.5418 Å).
Neutral-atom scattering factors, no anomalous dispersion.

Peak list (10 most intense, 15 to 90 degrees two-theta, in order of rising 2θ)
17.91°, intensity 100.0
19.24°, intensity 21.6
19.65°, intensity 58.2
19.77°, intensity 24.2
26.46°, intensity 18.7
26.96°, intensity 20.5
31.77°, intensity 20.7
39.21°, intensity 32.6
41.39°, intensity 21.5
42.69°, intensity 25.9

Structure:
Unit cell a=5.365 b=5.407 c=9.213 alpha=88.81 beta=77.17 gamma=78.67
Fractional positions:
Li  0.000  0.000  0.000
Li  0.115  0.462  0.852
Li  0.243  0.949  0.700
Li  0.509  0.531  0.474
Li  0.650  0.005  0.302
Li  0.867  0.569  0.135
Zr  0.061  0.266  0.379
Zr  0.429  0.265  0.067
Zr  0.570  0.740  0.897
Zr  0.837  0.846  0.569
O  0.043  0.175  0.181
O  0.202  0.949  0.490
O  0.232  0.613  0.008
O  0.333  0.103  0.882
O  0.417  0.352  0.291
O  0.533  0.677  0.681
O  0.653  0.906  0.087
O  0.695  0.180  0.502
O  0.760  0.394  0.964
O  0.849  0.638  0.383
O  0.943  0.794  0.772

---

Diffraction record for Sm2Dy2CBr3Cl2. The powder diffraction line list is simulated, not measured: it uses a cell relaxed with PBE and Cu Kα (λ = 1.5418 Å).
Neutral-atom scattering factors, no anomalous dispersion.

Peak list (10 most intense, 15 to 90 degrees two-theta, in order of rising 2θ)
28.95°, intensity 17.6
31.06°, intensity 48.8
31.78°, intensity 23.1
32.36°, intensity 100.0
34.95°, intensity 21.5
35.10°, intensity 16.1
35.68°, intensity 18.2
45.29°, intensity 26.6
45.63°, intensity 30.7
47.86°, intensity 18.9

Structure:
Unit cell a=9.092 b=9.092 c=8.071 alpha=103.39 beta=103.39 gamma=24.13
Fractional positions:
Sm  0.143  0.143  0.081
Sm  0.857  0.857  0.919
Dy  0.500  0.500  0.203
Dy  0.500  0.500  0.797
C  0.000  0.000  0.000
Br  0.000  0.000  0.500
Br  0.331  0.331  0.182
Br  0.669  0.669  0.818
Cl  0.344  0.344  0.661
Cl  0.656  0.656  0.339

---

Diffraction record for ErTmCoSiGe. The powder diffraction line list is simulated, not measured: it uses a cell relaxed with PBE and Cu Kα (λ = 1.5418 Å).
Neutral-atom scattering factors, no anomalous dispersion.

Peak list (10 most intense, 15 to 90 degrees two-theta, in order of rising 2θ)
23.51°, intensity 48.0
27.43°, intensity 41.3
34.01°, intensity 63.6
34.18°, intensity 89.4
34.65°, intensity 40.6
34.80°, intensity 100.0
35.15°, intensity 46.4
41.79°, intensity 54.2
43.48°, intensity 56.1
57.12°, intensity 40.8

Structure:
Unit cell a=5.523 b=5.523 c=9.965 alpha=115.24 beta=115.24 gamma=44.28
Fractional positions:
Er  0.190  0.190  0.111
Er  0.810  0.810  0.889
Tm  0.006  0.006  0.330
Tm  0.994  0.994  0.670
Co  0.278  0.278  0.660
Co  0.722  0.722  0.340
Si  0.492  0.492  0.120
Si  0.508  0.508  0.880
Ge  0.344  0.344  0.439
Ge  0.656  0.656  0.561

---

Diffraction record for LaTmNb. The powder diffraction line list is simulated, not measured: it uses a cell relaxed with PBE and Cu Kα (λ = 1.5418 Å).
Neutral-atom scattering factors, no anomalous dispersion.

Peak list (10 most intense, 15 to 90 degrees two-theta, in order of rising 2θ)
21.46°, intensity 15.4
24.83°, intensity 33.7
35.40°, intensity 100.0
41.78°, intensity 7.9
43.73°, intensity 10.2
50.94°, intensity 17.7
57.47°, intensity 13.8
63.56°, intensity 36.2
74.91°, intensity 11.2
85.67°, intensity 16.0

Structure:
Unit cell a=7.171 b=7.171 c=7.171 alpha=90.00 beta=90.00 gamma=90.00
Fractional positions:
La  0.000  0.000  0.000
La  0.000  0.500  0.500
La  0.500  0.000  0.500
La  0.500  0.500  0.000
Tm  0.000  0.000  0.500
Tm  0.000  0.500  0.000
Tm  0.500  0.000  0.000
Tm  0.500  0.500  0.500
Nb  0.250  0.250  0.250
Nb  0.250  0.750  0.750
Nb  0.750  0.250  0.750
Nb  0.750  0.750  0.250

---

Diffraction record for Ho3In3AgPt2. The powder diffraction line list is simulated, not measured: it uses a cell relaxed with PBE and Cu Kα (λ = 1.5418 Å).
Neutral-atom scattering factors, no anomalous dispersion.

Peak list (10 most intense, 15 to 90 degrees two-theta, in order of rising 2θ)
33.06°, intensity 100.0
35.09°, intensity 41.6
35.70°, intensity 91.7
39.97°, intensity 53.7
42.76°, intensity 25.8
48.41°, intensity 22.5
48.51°, intensity 15.7
61.18°, intensity 16.5
64.52°, intensity 26.0
64.99°, intensity 33.7

Structure:
Unit cell a=7.813 b=7.813 c=3.761 alpha=90.00 beta=90.00 gamma=120.00
Fractional positions:
Ho  0.000  0.409  0.000
Ho  0.409  0.000  0.000
Ho  0.591  0.591  0.000
In  0.000  0.731  0.500
In  0.269  0.269  0.500
In  0.731  0.000  0.500
Ag  0.000  0.000  0.000
Pt  0.333  0.667  0.500
Pt  0.667  0.333  0.500

---

Diffraction record for Pm3AlBr3. The powder diffraction line list is simulated, not measured: it uses a cell relaxed with PBE and Cu Kα (λ = 1.5418 Å).
Neutral-atom scattering factors, no anomalous dispersion.

Peak list (10 most intense, 15 to 90 degrees two-theta, in order of rising 2θ)
21.00°, intensity 38.2
25.79°, intensity 10.2
29.86°, intensity 100.0
36.79°, intensity 18.2
42.74°, intensity 74.5
53.01°, intensity 26.3
57.64°, intensity 9.8
62.04°, intensity 12.2
70.36°, intensity 33.6
78.27°, intensity 25.1

Structure:
Unit cell a=5.984 b=5.984 c=5.984 alpha=90.00 beta=90.00 gamma=90.00
Fractional positions:
Pm  0.000  0.000  0.500
Pm  0.000  0.500  0.000
Pm  0.500  0.000  0.000
Al  0.000  0.000  0.000
Br  0.000  0.500  0.500
Br  0.500  0.000  0.500
Br  0.500  0.500  0.000

---

Diffraction record for HoTe2PS2. The powder diffraction line list is simulated, not measured: it uses a cell relaxed with PBE and Cu Kα (λ = 1.5418 Å).
Neutral-atom scattering factors, no anomalous dispersion.

Peak list (10 most intense, 15 to 90 degrees two-theta, in order of rising 2θ)
16.41°, intensity 83.6
16.68°, intensity 76.9
23.60°, intensity 39.8
28.64°, intensity 35.6
29.04°, intensity 100.0
29.52°, intensity 42.1
31.68°, intensity 33.0
35.27°, intensity 48.4
35.36°, intensity 33.2
35.84°, intensity 38.1

Structure:
Unit cell a=6.833 b=6.952 c=8.188 alpha=93.41 beta=90.68 gamma=101.03
Fractional positions:
Ho  0.213  0.310  0.445
Ho  0.787  0.690  0.555
Te  0.123  0.019  0.732
Te  0.417  0.237  0.121
Te  0.583  0.763  0.879
Te  0.877  0.981  0.268
P  0.301  0.739  0.691
P  0.699  0.261  0.309
S  0.065  0.502  0.716
S  0.397  0.712  0.451
S  0.603  0.288  0.549
S  0.935  0.498  0.284

---

Diffraction record for Al5Re2. The powder diffraction line list is simulated, not measured: it uses a cell relaxed with PBE and Cu Kα (λ = 1.5418 Å).
Neutral-atom scattering factors, no anomalous dispersion.

Peak list (10 most intense, 15 to 90 degrees two-theta, in order of rising 2θ)
21.55°, intensity 61.4
26.01°, intensity 15.9
28.21°, intensity 100.0
41.00°, intensity 48.8
41.16°, intensity 51.7
42.15°, intensity 57.2
43.92°, intensity 18.3
45.90°, intensity 19.5
49.20°, intensity 26.0
52.06°, intensity 16.0

Structure:
Unit cell a=7.912 b=7.912 c=8.245 alpha=90.00 beta=90.00 gamma=120.00
Fractional positions:
Al  0.000  0.000  0.000
Al  0.000  0.000  0.500
Al  0.066  0.533  0.250
Al  0.193  0.386  0.549
Al  0.193  0.386  0.951
Al  0.193  0.807  0.549
Al  0.193  0.807  0.951
Al  0.386  0.193  0.049
Al  0.386  0.193  0.451
Al  0.467  0.533  0.250
Al  0.467  0.934  0.250
Al  0.533  0.066  0.750
Al  0.533  0.467  0.750
Al  0.614  0.807  0.549
Al  0.614  0.807  0.951
Al  0.807  0.193  0.049
Al  0.807  0.193  0.451
Al  0.807  0.614  0.049
Al  0.807  0.614  0.451
Al  0.934  0.467  0.750
Re  0.122  0.244  0.250
Re  0.122  0.878  0.250
Re  0.244  0.122  0.750
Re  0.333  0.667  0.750
Re  0.667  0.333  0.250
Re  0.756  0.878  0.250
Re  0.878  0.122  0.750
Re  0.878  0.756  0.750

---

Diffraction record for BaTmMgSb2. The powder diffraction line list is simulated, not measured: it uses a cell relaxed with PBE and Cu Kα (λ = 1.5418 Å).
Neutral-atom scattering factors, no anomalous dispersion.

Peak list (10 most intense, 15 to 90 degrees two-theta, in order of rising 2θ)
19.17°, intensity 21.7
24.96°, intensity 17.0
26.58°, intensity 38.0
26.73°, intensity 23.5
30.24°, intensity 50.4
31.17°, intensity 22.4
31.66°, intensity 25.4
34.49°, intensity 100.0
37.65°, intensity 33.4
46.25°, intensity 15.4

Structure:
Unit cell a=9.703 b=9.703 c=7.134 alpha=90.00 beta=90.00 gamma=151.49
Fractional positions:
Ba  0.196  0.804  0.500
Ba  0.804  0.196  0.000
Tm  0.017  0.983  0.209
Tm  0.983  0.017  0.709
Mg  0.404  0.596  0.387
Mg  0.596  0.404  0.887
Sb  0.162  0.838  0.002
Sb  0.444  0.556  0.988
Sb  0.556  0.444  0.488
Sb  0.838  0.162  0.502

---

Diffraction record for PmPb2. The powder diffraction line list is simulated, not measured: it uses a cell relaxed with PBE and Cu Kα (λ = 1.5418 Å).
Neutral-atom scattering factors, no anomalous dispersion.

Peak list (10 most intense, 15 to 90 degrees two-theta, in order of rising 2θ)
31.77°, intensity 100.0
38.77°, intensity 12.8
39.58°, intensity 12.1
50.96°, intensity 9.5
51.61°, intensity 9.2
56.60°, intensity 19.2
65.83°, intensity 10.5
66.38°, intensity 9.8
66.94°, intensity 10.0
83.69°, intensity 3.6

Structure:
Unit cell a=4.645 b=16.904 c=4.554 alpha=90.00 beta=90.00 gamma=90.00
Fractional positions:
Pm  0.000  0.096  0.250
Pm  0.000  0.904  0.750
Pm  0.500  0.404  0.750
Pm  0.500  0.596  0.250
Pb  0.000  0.251  0.750
Pb  0.000  0.433  0.250
Pb  0.000  0.567  0.750
Pb  0.000  0.749  0.250
Pb  0.500  0.067  0.750
Pb  0.500  0.249  0.250
Pb  0.500  0.751  0.750
Pb  0.500  0.933  0.250